(1)
Rb2ZnPdO4: calculated powder diffractogram (copper Kα), based on a cell relaxed with PBE.
Lines closer than 0.1° are merged.

Most intense lines, 10 to 90 degrees two-theta, sorted by position:
- 2θ = 16.95°, I = 39
- 2θ = 18.17°, I = 56
- 2θ = 21.67°, I = 71
- 2θ = 28.82°, I = 51
- 2θ = 29.84°, I = 60
- 2θ = 31.04°, I = 100
- 2θ = 33.95°, I = 71
- 2θ = 41.56°, I = 41
- 2θ = 51.36°, I = 47
- 2θ = 54.42°, I = 29

Crystal structure
abc: 11.5628 10.1893 6.8495
angles: 82.99 61.00 36.01
Fractional coordinates of all 16 atoms:
Rb 0.0539 0.0539 0.6961
Rb 0.3039 0.3039 0.9461
Rb 0.6961 0.6961 0.0539
Rb 0.9461 0.9461 0.3039
Zn 0.1250 0.1250 0.1250
Zn 0.8750 0.8750 0.8750
Pd 0.3750 0.3750 0.3750
Pd 0.6250 0.6250 0.6250
O 0.0010 0.3240 0.4268
O 0.2518 0.5732 0.6760
O 0.3240 0.0010 0.7482
O 0.4268 0.7482 0.0010
O 0.5732 0.2518 0.9990
O 0.6760 0.9990 0.2518
O 0.7482 0.4268 0.3240
O 0.9990 0.6760 0.5732

=====

(2)
AcLaNd2Se4: calculated powder diffractogram (copper Kα), based on a cell relaxed with PBE.
Lines closer than 0.1° are merged.

Most intense lines, 10 to 90 degrees two-theta, sorted by position:
- 2θ = 25.41°, I = 11
- 2θ = 29.30°, I = 100
- 2θ = 41.64°, I = 13
- 2θ = 41.83°, I = 25
- 2θ = 41.97°, I = 25
- 2θ = 42.22°, I = 12
- 2θ = 52.20°, I = 13
- 2θ = 60.77°, I = 13
- 2θ = 68.76°, I = 12
- 2θ = 68.95°, I = 11

Crystal structure
abc: 7.4713 4.2811 7.5026
angles: 90.00 109.18 90.00
Fractional coordinates of all 8 atoms:
Ac 0.0000 0.0000 0.0000
La 0.0000 0.5000 0.5000
Nd 0.5000 0.0000 0.5000
Nd 0.5000 0.5000 0.0000
Se 0.2580 0.0000 0.7486
Se 0.2615 0.5000 0.2581
Se 0.7385 0.5000 0.7419
Se 0.7420 0.0000 0.2514